Entry 1:
# LaThSnN
Calculated X-ray powder pattern, Cu Kα (weighted mean of Kα1 and Kα2). Input: DFT lattice parameters and positions (GGA-PBE).
Kinematic intensities with the Lorentz-polarization factor, no thermal factor.

Cell and atoms:
```
data_LaThSnN
_cell_length_a 3.7845
_cell_length_b 3.8051
_cell_length_c 14.7434
_cell_angle_alpha 90.00
_cell_angle_beta 90.00
_cell_angle_gamma 90.00
_symmetry_space_group_name_H-M 'I m m 2'
_symmetry_Int_Tables_number 44
loop_
_symmetry_equiv_pos_as_xyz
'x,y,z'
'-x,-y,z'
'-x,y,z'
'x,-y,z'
'x+1/2,y+1/2,z+1/2'
'-x+1/2,-y+1/2,z+1/2'
'-x+1/2,y+1/2,z+1/2'
'x+1/2,-y+1/2,z+1/2'
loop_
_atom_site_label
_atom_site_fract_x
_atom_site_fract_y
_atom_site_fract_z
_atom_site_occupancy
La1 0.0000 0.0000 0.0000 1
Th1 0.0000 0.0000 0.6920 1
Sn1 0.0000 0.0000 0.3454 1
N1 0.0000 0.5000 0.6043 1
```

Largest 10 diffraction maxima, in order of falling intensity, 2θ = 10–90°:
- d = 2.998 Å, I 100, (1 0 3)
- d = 3.009 Å, I 99, (0 1 3)
- d = 2.683 Å, I 73, (1 1 0)
- d = 1.812 Å, I 44, (1 1 6)
- d = 1.606 Å, I 32, (1 2 3)
- d = 1.602 Å, I 32, (2 1 3)
- d = 1.504 Å, I 29, (0 2 6)
- d = 2.457 Å, I 24, (0 0 6)
- d = 1.178 Å, I 19, (2 2 6)
- d = 1.903 Å, I 15, (0 2 0)

Entry 2:
# Sr2LaVN4
Calculated X-ray powder pattern, Cu Kα (weighted mean of Kα1 and Kα2). Input: DFT lattice parameters and positions (GGA-PBE).
Kinematic intensities with the Lorentz-polarization factor, no thermal factor.

Cell and atoms:
```
data_Sr2LaVN4
_cell_length_a 7.5285
_cell_length_b 7.0750
_cell_length_c 5.5755
_cell_angle_alpha 90.00
_cell_angle_beta 90.00
_cell_angle_gamma 90.00
_symmetry_space_group_name_H-M 'P m n 21'
_symmetry_Int_Tables_number 31
loop_
_symmetry_equiv_pos_as_xyz
'x,y,z'
'-x+1/2,-y,z+1/2'
'-x,y,z'
'x+1/2,-y,z+1/2'
loop_
_atom_site_label
_atom_site_fract_x
_atom_site_fract_y
_atom_site_fract_z
_atom_site_occupancy
Sr1 0.2427 0.1641 0.0000 1
La1 0.0000 0.3762 0.5053 1
V1 0.0000 0.6756 0.0355 1
N1 0.0000 0.4205 0.9586 1
N2 0.0000 0.6744 0.3593 1
N3 0.2126 0.7986 0.9581 1
```

Largest 10 diffraction maxima, in order of falling intensity, 2θ = 10–90°:
- d = 2.855 Å, I 100, (2 1 1)
- d = 2.987 Å, I 78, (0 2 1)
- d = 3.323 Å, I 65, (2 1 0)
- d = 2.788 Å, I 55, (0 0 2)
- d = 1.623 Å, I 51, (2 3 2)
- d = 2.136 Å, I 33, (2 1 2)
- d = 1.999 Å, I 33, (2 3 0)
- d = 1.592 Å, I 25, (4 2 1)
- d = 1.882 Å, I 22, (4 0 0)
- d = 1.645 Å, I 19, (0 2 3)

Entry 3:
# SrLaZnN2
Calculated X-ray powder pattern, Cu Kα (weighted mean of Kα1 and Kα2). Input: DFT lattice parameters and positions (GGA-PBE).
Kinematic intensities with the Lorentz-polarization factor, no thermal factor.

Cell and atoms:
```
data_SrLaZnN2
_cell_length_a 5.5435
_cell_length_b 5.6397
_cell_length_c 6.9887
_cell_angle_alpha 90.00
_cell_angle_beta 90.00
_cell_angle_gamma 90.00
_symmetry_space_group_name_H-M 'P c c m'
_symmetry_Int_Tables_number 49
loop_
_symmetry_equiv_pos_as_xyz
'x,y,z'
'-x,-y,-z'
'-x,-y,z'
'x,y,-z'
'x,-y,-z+1/2'
'-x,y,z+1/2'
'-x,y,-z+1/2'
'x,-y,z+1/2'
loop_
_atom_site_label
_atom_site_fract_x
_atom_site_fract_y
_atom_site_fract_z
_atom_site_occupancy
Sr1 0.0000 0.0000 0.2500 1
La1 0.5000 0.5000 0.2500 1
Zn1 0.5000 0.0000 0.0000 1
N1 0.2866 0.2562 0.0000 1
```

Largest 10 diffraction maxima, in order of falling intensity, 2θ = 10–90°:
- d = 2.618 Å, I 100, (1 1 2)
- d = 3.953 Å, I 39, (1 1 0)
- d = 5.543 Å, I 30, (1 0 0)
- d = 2.820 Å, I 25, (0 2 0)
- d = 1.977 Å, I 25, (2 2 0)
- d = 2.772 Å, I 25, (2 0 0)
- d = 1.586 Å, I 21, (1 3 2)
- d = 1.569 Å, I 21, (3 1 2)
- d = 1.309 Å, I 12, (2 2 4)
- d = 2.970 Å, I 11, (0 1 2)

Entry 4:
# LaTaN2
Calculated X-ray powder pattern, Cu Kα (weighted mean of Kα1 and Kα2). Input: DFT lattice parameters and positions (GGA-PBE).
Kinematic intensities with the Lorentz-polarization factor, no thermal factor.

Cell and atoms:
```
data_LaTaN2
_cell_length_a 5.9223
_cell_length_b 3.4291
_cell_length_c 11.1182
_cell_angle_alpha 90.00
_cell_angle_beta 90.00
_cell_angle_gamma 90.00
_symmetry_space_group_name_H-M 'P n m a'
_symmetry_Int_Tables_number 62
loop_
_symmetry_equiv_pos_as_xyz
'x,y,z'
'-x,-y,-z'
'-x+1/2,-y,z+1/2'
'x+1/2,y,-z+1/2'
'x+1/2,-y+1/2,-z+1/2'
'-x+1/2,y+1/2,z+1/2'
'-x,y+1/2,-z'
'x,-y+1/2,z'
loop_
_atom_site_label
_atom_site_fract_x
_atom_site_fract_y
_atom_site_fract_z
_atom_site_occupancy
La1 0.0787 0.2500 0.1353 1
Ta1 0.0766 0.7500 0.3885 1
N1 0.1674 0.2500 0.7526 1
N2 0.2104 0.2500 0.4834 1
```

Largest 10 diffraction maxima, in order of falling intensity, 2θ = 10–90°:
- d = 2.618 Å, I 100, (1 1 2)
- d = 2.864 Å, I 39, (2 0 1)
- d = 2.314 Å, I 30, (2 0 3)
- d = 2.780 Å, I 29, (0 0 4)
- d = 1.691 Å, I 20, (3 1 1)
- d = 1.572 Å, I 18, (1 1 6)
- d = 2.961 Å, I 11, (2 0 0)
- d = 2.027 Å, I 11, (2 0 4)
- d = 1.779 Å, I 11, (2 0 5)
- d = 1.715 Å, I 11, (0 2 0)

Entry 5:
# LaTaN
Calculated X-ray powder pattern, Cu Kα (weighted mean of Kα1 and Kα2). Input: DFT lattice parameters and positions (GGA-PBE).
Kinematic intensities with the Lorentz-polarization factor, no thermal factor.

Cell and atoms:
```
data_LaTaN
_cell_length_a 3.6431
_cell_length_b 3.6431
_cell_length_c 9.1761
_cell_angle_alpha 90.00
_cell_angle_beta 90.00
_cell_angle_gamma 90.00
_symmetry_space_group_name_H-M 'P 4/n m m'
_symmetry_Int_Tables_number 129
loop_
_symmetry_equiv_pos_as_xyz
'x,y,z'
'-x,-y,-z'
'-y+1/2,x,z'
'y+1/2,-x,-z'
'-x+1/2,-y+1/2,z'
'x+1/2,y+1/2,-z'
'y,-x+1/2,z'
'-y,x+1/2,-z'
'x+1/2,-y,-z'
'-x+1/2,y,z'
'-y,-x,-z'
'y,x,z'
'-x,y+1/2,-z'
'x,-y+1/2,z'
'y+1/2,x+1/2,-z'
'-y+1/2,-x+1/2,z'
loop_
_atom_site_label
_atom_site_fract_x
_atom_site_fract_y
_atom_site_fract_z
_atom_site_occupancy
La1 0.2500 0.2500 0.1941 1
Ta1 0.2500 0.7500 0.5000 1
N1 0.2500 0.2500 0.6620 1
```

Largest 10 diffraction maxima, in order of falling intensity, 2θ = 10–90°:
- d = 2.246 Å, I 100, (1 1 2)
- d = 2.480 Å, I 76, (1 1 1)
- d = 3.059 Å, I 56, (0 0 3)
- d = 3.386 Å, I 49, (1 0 1)
- d = 1.822 Å, I 34, (2 0 0)
- d = 1.565 Å, I 32, (2 0 3)
- d = 1.495 Å, I 32, (1 1 5)
- d = 2.853 Å, I 24, (1 0 2)
- d = 1.117 Å, I 22, (3 1 2)
- d = 1.941 Å, I 16, (1 0 4)

Entry 6:
# LaTa4N8
Calculated X-ray powder pattern, Cu Kα (weighted mean of Kα1 and Kα2). Input: DFT lattice parameters and positions (GGA-PBE).
Kinematic intensities with the Lorentz-polarization factor, no thermal factor.

Cell and atoms:
```
data_LaTa4N8
_cell_length_a 14.7647
_cell_length_b 3.1905
_cell_length_c 9.9494
_cell_angle_alpha 90.00
_cell_angle_beta 131.40
_cell_angle_gamma 90.00
_symmetry_space_group_name_H-M 'C 1 m 1'
_symmetry_Int_Tables_number 8
loop_
_symmetry_equiv_pos_as_xyz
'x,y,z'
'x,-y,z'
'x+1/2,y+1/2,z'
'x+1/2,-y+1/2,z'
loop_
_atom_site_label
_atom_site_fract_x
_atom_site_fract_y
_atom_site_fract_z
_atom_site_occupancy
La1 0.0000 0.0000 0.0000 1
Ta1 0.2383 0.5000 0.5770 1
Ta2 0.2402 0.0000 0.9252 1
Ta3 0.4405 0.0000 0.6089 1
Ta4 0.4452 0.5000 0.2881 1
N1 0.0590 0.0000 0.7757 1
N2 0.1348 0.0000 0.4382 1
N3 0.2541 0.5000 0.8025 1
N4 0.2643 0.5000 0.0840 1
N5 0.3207 0.5000 0.4772 1
N6 0.3831 0.0000 0.7554 1
N7 0.4412 0.0000 0.1255 1
N8 0.4626 0.0000 0.4266 1
```

Largest 10 diffraction maxima, in order of falling intensity, 2θ = 10–90°:
- d = 2.669 Å, I 100, (1 1 1)
- d = 2.604 Å, I 73, (3 1 -2)
- d = 2.769 Å, I 69, (4 0 0)
- d = 3.162 Å, I 66, (4 0 -3)
- d = 2.658 Å, I 66, (3 1 -1)
- d = 3.191 Å, I 50, (2 0 -3)
- d = 2.488 Å, I 47, (0 0 3)
- d = 1.936 Å, I 45, (3 1 -4)
- d = 2.615 Å, I 42, (1 1 -2)
- d = 4.974 Å, I 40, (2 0 -2)